# 1
The following is a simulated powder diffractogram of Fe2Si. It was derived from DFT lattice parameters and positions (GGA-PBE), using CuKα.
Kinematic intensities with the Lorentz-polarization factor, no thermal factor.

Structure:
Unit cell a=3.9255 b=3.9255 c=4.8336 alpha=90.00 beta=90.00 gamma=120.00
Atoms (fractional coordinates):
Fe 0.0000 0.0000 0.0000
Fe 0.0000 0.0000 0.5000
Fe 0.3333 0.6667 0.1778
Fe 0.6667 0.3333 0.8222
Si 0.3333 0.6667 0.6802
Si 0.6667 0.3333 0.3198

Peak list (10 most intense, 15° ≤ 2θ ≤ 90°, in order of rising 2θ)
- 18.4 deg, I = 3.1, (0 0 1)
- 26.2 deg, I = 5.1, (1 0 0)
- 32.2 deg, I = 15.7, (1 0 1)
- 46.1 deg, I = 100.0, (0 1 2)
- 46.3 deg, I = 96.8, (1 1 0)
- 57.5 deg, I = 2.6, (0 2 1)
- 67.3 deg, I = 29.4, (2 0 2)
- 85.2 deg, I = 13.9, (1 0 4)
- 85.6 deg, I = 29.4, (1 2 2)
- 85.7 deg, I = 14.4, (3 0 0)


# 2
The following is a simulated powder diffractogram of AcNd4Sm2Dy. It was derived from DFT lattice parameters and positions (GGA-PBE), using CuKα.
Kinematic intensities with the Lorentz-polarization factor, no thermal factor.

Structure:
Unit cell a=5.1998 b=5.2235 c=10.4578 alpha=90.00 beta=90.00 gamma=90.00
Atoms (fractional coordinates):
Ac 0.0000 0.0000 0.0000
Nd 0.0000 0.5000 0.2577
Nd 0.0000 0.5000 0.7423
Nd 0.5000 0.0000 0.2578
Nd 0.5000 0.0000 0.7422
Sm 0.0000 0.0000 0.5000
Sm 0.5000 0.5000 0.0000
Dy 0.5000 0.5000 0.5000

Peak list (10 most intense, 15° ≤ 2θ ≤ 90°, in order of rising 2θ)
- 29.7 deg, I = 100.0, (1 1 2)
- 34.3 deg, I = 33.9, (0 2 0)
- 34.5 deg, I = 16.9, (2 0 0)
- 49.3 deg, I = 12.2, (0 2 4)
- 49.5 deg, I = 24.3, (2 2 0)
- 58.6 deg, I = 28.9, (1 3 2)
- 58.8 deg, I = 14.5, (3 1 2)
- 61.6 deg, I = 12.5, (2 2 4)
- 80.3 deg, I = 11.7, (3 3 2)
- 82.6 deg, I = 8.0, (0 4 4)